For Na2HgPdS4, a structure optimized by DFT (GGA-PBE) gives the calculated powder diffraction line list in this record (Cu Kα).

Peak list (6 most intense, 10 to 90 degrees two-theta, by angle)
2θ 17.0, 5.210 Å, rel. 100.0, hkl 1 0 1
2θ 26.1, 3.419 Å, rel. 22.0, hkl 2 0 0
2θ 28.9, 3.092 Å, rel. 90.5, hkl 1 1 2
2θ 31.3, 2.858 Å, rel. 34.2, hkl 2 1 1
2θ 37.2, 2.417 Å, rel. 35.3, hkl 2 2 0
2θ 47.8, 1.904 Å, rel. 43.2, hkl 1 3 2

Atomic structure:
```
Na2HgPdS4
1.0
6.837 0.000 0.000
0.000 6.837 0.000
0.000 0.000 8.045
Na Hg Pd S
4 2 2 8
Cartesian
0.000 0.000 0.000
0.000 3.419 2.011
3.419 0.000 6.034
3.419 3.419 4.023
0.000 3.419 6.034
3.419 0.000 2.011
0.000 0.000 4.023
3.419 3.419 0.000
1.382 1.696 4.724
1.696 5.455 3.321
1.722 4.800 7.344
2.037 1.722 0.701
4.800 5.115 0.701
5.115 2.037 7.344
5.141 1.382 3.321
5.455 5.141 4.724
```